[1]
Theoretical PXRD pattern of Th2SeN2 for Cu Kα X-rays, from a structure optimized by DFT (GGA-PBE).
Peak positions follow from Bragg's law for the DFT cell and can differ from measured ones.

Crystal structure
```
Th2SeN2
1.0
4.046 0.000 0.000
-2.023 3.504 0.000
0.000 0.000 7.200
Th Se N
2 1 2
Cartesian
0.000 2.336 2.135
2.023 1.168 5.065
0.000 0.000 0.000
0.000 2.336 4.508
2.023 1.168 2.692
```

The 12 most intense peaks (2θ from 5° to 70°), by angle:
| h k l | 2θ (°) | d [Å] | intensity |
| --- | --- | --- | --- |
| 0 0 2 | 24.7 | 3.600 | 13 |
| 1 0 0 | 25.4 | 3.504 | 11 |
| 0 1 1 | 28.3 | 3.150 | 100 |
| 1 0 2 | 35.8 | 2.511 | 40 |
| 0 0 3 | 37.5 | 2.400 | 11 |
| 1 1 0 | 44.8 | 2.023 | 30 |
| 0 1 3 | 45.8 | 1.980 | 15 |
| 1 1 2 | 51.8 | 1.763 | 11 |
| 2 0 1 | 53.9 | 1.702 | 18 |
| 0 1 4 | 57.6 | 1.601 | 12 |
| 0 2 2 | 58.6 | 1.575 | 10 |
| 1 1 3 | 59.8 | 1.547 | 16 |

[2]
Theoretical PXRD pattern of Ti2SeN2 for Cu Kα X-rays, from a structure optimized by DFT (GGA-PBE).
Peak positions follow from Bragg's law for the DFT cell and can differ from measured ones.

Crystal structure
```
Ti2SeN2
1.0
3.430 0.000 0.000
-1.715 2.970 0.000
0.000 0.000 6.414
Ti Se N
2 1 2
Cartesian
0.000 1.980 2.010
1.715 0.990 4.404
0.000 0.000 0.000
0.000 1.980 4.059
1.715 0.990 2.354
```

The 12 most intense peaks (2θ from 5° to 70°), by angle:
| h k l | 2θ (°) | d [Å] | intensity |
| --- | --- | --- | --- |
| 0 0 1 | 13.8 | 6.414 | 4 |
| 1 0 0 | 30.1 | 2.970 | 1 |
| 0 1 1 | 33.2 | 2.695 | 100 |
| 1 0 2 | 41.4 | 2.179 | 51 |
| 0 0 3 | 42.3 | 2.138 | 20 |
| 1 0 3 | 52.8 | 1.735 | 4 |
| 1 1 0 | 53.4 | 1.715 | 31 |
| 1 1 1 | 55.5 | 1.657 | 1 |
| 0 0 4 | 57.5 | 1.603 | 1 |
| 2 0 1 | 64.4 | 1.447 | 13 |
| 0 1 4 | 66.2 | 1.411 | 12 |
| 0 2 2 | 69.8 | 1.348 | 10 |

[3]
Theoretical PXRD pattern of Zr7Se8N4 for Cu Kα X-rays, from a structure optimized by DFT (GGA-PBE).
Peak positions follow from Bragg's law for the DFT cell and can differ from measured ones.

Crystal structure
```
Zr7Se8N4
1.0
7.013 0.000 0.000
-1.362 7.669 0.000
-1.782 -2.801 7.366
Zr Se N
7 8 4
Cartesian
0.000 0.000 0.000
-0.687 4.734 2.057
0.712 0.028 3.863
0.203 3.955 6.045
3.632 3.139 0.806
3.480 6.443 2.015
4.358 2.793 4.228
-0.041 2.685 3.625
0.473 -1.212 6.367
1.604 4.915 0.598
1.157 5.698 3.934
2.887 1.092 2.257
2.176 1.724 5.636
5.149 0.063 4.445
6.111 2.661 0.304
-2.080 3.723 5.934
-1.294 6.796 1.931
3.670 7.167 0.042
4.259 4.325 2.503
```

The 12 most intense peaks (2θ from 5° to 70°), by angle:
| h k l | 2θ (°) | d [Å] | intensity |
| --- | --- | --- | --- |
| 0 1 -2 | 22.9 | 3.885 | 41 |
| 1 -2 0 | 25.0 | 3.562 | 43 |
| 2 0 -1 | 26.2 | 3.407 | 33 |
| 1 1 1 | 27.8 | 3.207 | 100 |
| 1 1 -3 | 33.9 | 2.645 | 42 |
| 1 -3 2 | 38.4 | 2.343 | 38 |
| 2 2 -2 | 38.8 | 2.322 | 30 |
| 2 1 -3 | 38.9 | 2.314 | 26 |
| 3 0 -1 | 39.1 | 2.302 | 44 |
| 0 3 -3 | 42.4 | 2.133 | 38 |
| -3 2 1 | 43.2 | 2.096 | 29 |
| 0 3 1 | 43.8 | 2.068 | 35 |

[4]
Theoretical PXRD pattern of Si3N4 for Cu Kα X-rays, from a structure optimized by DFT (GGA-PBE).
Peak positions follow from Bragg's law for the DFT cell and can differ from measured ones.

Crystal structure
```
Si3N4
1.0
12.526 0.000 0.000
-6.263 10.848 0.000
0.000 0.000 8.091
Si N
18 24
Cartesian
-1.361 2.586 0.792
-1.361 2.586 3.254
-0.515 1.773 6.069
-4.470 10.407 6.069
1.278 1.333 2.023
-3.343 10.734 0.792
-3.343 10.734 3.254
1.559 2.472 4.838
1.559 2.472 7.299
4.704 8.376 0.792
4.704 8.376 3.254
9.606 0.114 4.838
9.606 0.114 7.299
4.985 9.515 6.069
10.733 0.440 2.023
6.778 9.075 2.023
7.624 8.262 4.838
7.624 8.262 7.299
-1.863 3.627 2.023
-0.397 1.567 2.023
-0.311 2.678 4.613
-0.311 2.678 7.524
-4.707 10.408 2.023
1.159 1.127 6.069
-3.789 9.778 4.613
-3.789 9.778 7.524
2.164 1.608 0.568
2.164 1.608 3.478
-2.191 10.648 2.023
2.210 3.427 6.069
4.053 7.421 2.023
8.454 0.200 6.069
4.099 9.240 4.613
4.099 9.240 7.524
10.052 1.070 0.568
10.052 1.070 3.478
5.104 9.720 2.023
10.970 0.440 6.069
6.574 8.170 0.568
6.574 8.170 3.478
6.660 9.280 6.069
8.126 7.221 6.069
```

The 12 most intense peaks (2θ from 5° to 70°), by angle:
| h k l | 2θ (°) | d [Å] | intensity |
| --- | --- | --- | --- |
| 1 0 0 | 8.2 | 10.848 | 100 |
| 2 0 0 | 16.3 | 5.424 | 2 |
| 1 1 1 | 17.9 | 4.953 | 5 |
| 2 1 0 | 21.7 | 4.100 | 6 |
| 1 0 2 | 23.5 | 3.791 | 1 |
| 1 2 1 | 24.3 | 3.657 | 2 |
| 2 2 0 | 28.5 | 3.132 | 1 |
| 3 2 1 | 37.8 | 2.379 | 1 |
| 1 2 3 | 40.0 | 2.253 | 3 |
| 2 2 3 | 44.3 | 2.043 | 1 |
| 4 0 4 | 56.8 | 1.621 | 1 |
| 6 1 3 | 66.3 | 1.410 | 1 |